Li2CeUF8: calculated PXRD pattern (Cu Kα (λ = 1.5418 Å)), based on a crystal structure in Alexandria, relaxed with GGA-PBE.

Atomic structure:
```
data_Li2CeUF8
_space_group_name_H-M_alt 'P 1'
_space_group_IT_number 1
_space_group_name_Hall 'P 1'
_cell_length_a 6.9049
_cell_length_b 6.9049
_cell_length_c 6.9049
_cell_angle_alpha 134.10
_cell_angle_beta 134.10
_cell_angle_gamma 66.93
loop_
_atom_site_label
_atom_site_fract_x
_atom_site_fract_y
_atom_site_fract_z
_atom_site_occupancy
Li1 0.0000 0.0000 0.0000 1
Li2 0.7500 0.2500 0.5000 1
Ce1 0.5000 0.5000 0.0000 1
U1 0.2500 0.7500 0.5000 1
F1 0.1031 0.4895 0.9351 1
F2 0.1921 0.0753 0.4296 1
F3 0.2375 0.8079 0.8832 1
F4 0.5105 0.4456 0.6136 1
F5 0.5544 0.1680 0.0649 1
F6 0.6458 0.7625 0.5704 1
F7 0.8320 0.8969 0.3864 1
F8 0.9247 0.3542 0.1168 1
```

Top 10 peaks for 2θ = 10–90°, low angle first:
| 2θ (°) | I_rel |
| --- | --- |
| 18.2 | 100 |
| 28.1 | 73 |
| 28.5 | 24 |
| 33.3 | 12 |
| 38.2 | 36 |
| 42.7 | 15 |
| 44.4 | 27 |
| 46.2 | 25 |
| 53.4 | 14 |
| 56.3 | 24 |

Ac5La2Pm3: calculated PXRD pattern (Cu Kα (λ = 1.5418 Å)), based on a crystal structure in Alexandria, relaxed with GGA-PBE.

Atomic structure:
```
data_Ac5La2Pm3
_space_group_name_H-M_alt 'P 1'
_space_group_IT_number 1
_space_group_name_Hall 'P 1'
_cell_length_a 5.4084
_cell_length_b 6.6521
_cell_length_c 12.2170
_cell_angle_alpha 89.86
_cell_angle_beta 89.90
_cell_angle_gamma 66.09
loop_
_atom_site_label
_atom_site_fract_x
_atom_site_fract_y
_atom_site_fract_z
_atom_site_occupancy
Ac1 0.0000 0.0000 0.0000 1
Ac2 0.1022 0.7964 0.7041 1
Ac3 0.1965 0.6075 0.3982 1
Ac4 0.8035 0.3925 0.6018 1
Ac5 0.8978 0.2036 0.2959 1
La1 0.2977 0.4048 0.0962 1
La2 0.7023 0.5952 0.9038 1
Pm1 0.4010 0.1980 0.8018 1
Pm2 0.5000 0.0000 0.5000 1
Pm3 0.5990 0.8020 0.1982 1
```

Top 10 peaks for 2θ = 10–90°, low angle first:
| 2θ (°) | I_rel |
| --- | --- |
| 28.4 | 100 |
| 28.5 | 33 |
| 32.9 | 46 |
| 33.1 | 22 |
| 47.3 | 17 |
| 47.4 | 25 |
| 55.9 | 15 |
| 56.1 | 15 |
| 56.3 | 15 |
| 76.4 | 10 |